TaPd3Au4: simulated powder diffractogram (Cu Kα, 1.54184 Å), based on a PBE-relaxed structure.
Intensities are scaled so that the largest is 100.

Structural model:
Cell lengths 4.963, 5.045, 6.393 Å; angles 104.73, 104.26, 110.91 degrees
Space group P-1 (No. 2)
One atom of each set of equivalent atoms:
Ta (0.000, 0.000, 0.000) x1
Pd (0.381, 0.881, 0.762) x2
Pd (0.500, 0.500, 0.000) x1
Au (0.124, 0.623, 0.247) x2
Au (0.246, 0.246, 0.493) x2

Top 12 peaks for 2θ = 5–70°, by intensity:
| index | Position (°2θ) | d_spacing | intensity |
| --- | --- | --- | --- |
| 0 2 -1 | 38.22 | 2.355 | 100 |
| 2 0 -1 | 38.85 | 2.318 | 32 |
| 2 -2 0 | 43.94 | 2.060 | 23 |
| 1 1 1 | 44.87 | 2.020 | 21 |
| 1 1 -3 | 45.01 | 2.014 | 21 |
| -1 3 1 | 64.14 | 1.452 | 7 |
| 3 -1 1 | 65.08 | 1.433 | 7 |
| 1 -3 3 | 64.28 | 1.449 | 7 |
| 1 0 -1 | 20.66 | 4.298 | 7 |
| 0 0 4 | 65.03 | 1.434 | 7 |
| -3 1 3 | 65.16 | 1.432 | 7 |
| 2 2 -2 | 65.83 | 1.419 | 7 |

=====

TaPdAu3: simulated powder diffractogram (Cu Kα, 1.54184 Å), based on a PBE-relaxed structure.
Intensities are scaled so that the largest is 100.

Structural model:
Cell lengths 4.564, 15.750, 5.539 Å; angles 90.00, 90.00, 90.00 degrees
Space group Ama2 (No. 40)
One atom of each set of equivalent atoms:
Ta (0.250, 0.214, 0.000) x4
Pd (0.250, 0.361, 0.734) x4
Au (0.250, 0.046, 0.043) x4
Au (0.250, 0.186, 0.502) x4
Au (0.250, 0.375, 0.251) x4

Top 12 peaks for 2θ = 5–70°, by intensity:
| index | Position (°2θ) | d_spacing | intensity |
| --- | --- | --- | --- |
| 1 2 2 | 39.76 | 2.267 | 100 |
| 1 6 0 | 39.61 | 2.275 | 65 |
| 2 0 0 | 39.49 | 2.282 | 40 |
| 1 5 1 | 38.33 | 2.348 | 29 |
| 0 2 0 | 11.24 | 7.875 | 24 |
| 0 1 1 | 16.97 | 5.225 | 20 |
| 0 3 1 | 23.34 | 3.810 | 16 |
| 2 4 2 | 57.31 | 1.608 | 16 |
| 0 8 2 | 57.43 | 1.605 | 14 |
| 0 0 4 | 67.63 | 1.385 | 14 |
| 1 3 1 | 30.56 | 2.925 | 8 |
| 1 4 2 | 44.66 | 2.029 | 8 |

=====

TaPd3Au: simulated powder diffractogram (Cu Kα, 1.54184 Å), based on a PBE-relaxed structure.
Intensities are scaled so that the largest is 100.

Structural model:
Cell lengths 13.738, 4.664, 5.558 Å; angles 90.00, 112.32, 90.00 degrees
Space group C2/m (No. 12)
One atom of each set of equivalent atoms:
Ta (0.185, 0.000, 0.172) x4
Pd (0.002, 0.000, 0.755) x4
Pd (0.122, 0.500, 0.877) x4
Pd (0.193, 0.000, 0.686) x4
Au (0.114, 0.500, 0.374) x4

Top 12 peaks for 2θ = 5–70°, by intensity:
| index | Position (°2θ) | d_spacing | intensity |
| --- | --- | --- | --- |
| 5 1 0 | 40.42 | 2.232 | 100 |
| 0 2 0 | 38.60 | 2.332 | 83 |
| 1 1 2 | 43.07 | 2.100 | 71 |
| 5 1 -2 | 43.97 | 2.059 | 50 |
| 4 0 -2 | 35.62 | 2.521 | 28 |
| 4 2 -2 | 53.54 | 1.712 | 18 |
| 1 1 -2 | 38.21 | 2.355 | 18 |
| 0 0 2 | 34.90 | 2.571 | 15 |
| 6 0 2 | 67.09 | 1.395 | 13 |
| 4 0 -4 | 67.43 | 1.389 | 13 |
| 10 0 -2 | 68.87 | 1.363 | 12 |
| 4 0 0 | 28.09 | 3.177 | 11 |

=====

Ta2Pd3Au3: simulated powder diffractogram (Cu Kα, 1.54184 Å), based on a PBE-relaxed structure.
Intensities are scaled so that the largest is 100.

Structural model:
Cell lengths 7.2973, 7.2973, 8.8362 Å; angles 90.00, 90.00, 120.00 degrees
Space group R32 (No. 155, hexagonal axes)
One atom of each set of equivalent atoms:
Ta (0.0000, 0.0000, 0.2464) x6
Pd (0.0000, 0.2499, 0.0000) x9
Au (0.0000, 0.7470, 0.5000) x9

Top 12 peaks for 2θ = 5–70°, by intensity:
| index | Position (°2θ) | d_spacing | intensity |
| --- | --- | --- | --- |
| 1 1 3 | 39.31 | 2.292 | 100 |
| 2 1 1 | 39.06 | 2.306 | 98 |
| 1 2 2 | 43.05 | 2.101 | 91 |
| 2 0 2 | 34.91 | 2.570 | 78 |
| 3 0 0 | 42.93 | 2.107 | 47 |
| 2 3 2 | 68.02 | 1.378 | 46 |
| 1 0 4 | 43.39 | 2.085 | 42 |
| 1 1 6 | 68.74 | 1.366 | 24 |
| 3 2 1 | 65.21 | 1.431 | 23 |
| 1 3 4 | 68.31 | 1.373 | 23 |
| 1 2 5 | 65.73 | 1.421 | 22 |
| 1 1 0 | 24.40 | 3.649 | 15 |

=====

Ta2Pd4Au3: simulated powder diffractogram (Cu Kα, 1.54184 Å), based on a PBE-relaxed structure.
Intensities are scaled so that the largest is 100.

Structural model:
Cell lengths 8.980, 3.967, 8.694 Å; angles 90.00, 107.56, 90.00 degrees
Space group C2/m (No. 12)
One atom of each set of equivalent atoms:
Ta (0.169, 0.000, 0.223) x4
Pd (0.001, 0.500, 0.678) x4
Pd (0.168, 0.000, 0.892) x4
Au (0.000, 0.500, 0.000) x2
Au (0.169, 0.000, 0.560) x4

Top 12 peaks for 2θ = 5–70°, by intensity:
| index | Position (°2θ) | d_spacing | intensity |
| --- | --- | --- | --- |
| 1 1 -3 | 38.47 | 2.340 | 100 |
| 3 1 0 | 38.88 | 2.317 | 98 |
| 2 0 3 | 44.04 | 2.056 | 34 |
| 4 0 -3 | 45.08 | 2.011 | 32 |
| 6 0 0 | 65.39 | 1.427 | 32 |
| 0 2 0 | 45.74 | 1.983 | 31 |
| 4 2 -3 | 66.17 | 1.412 | 20 |
| 2 0 -6 | 64.30 | 1.449 | 11 |
| 2 0 -1 | 20.27 | 4.380 | 7 |
| 1 1 1 | 28.26 | 3.158 | 6 |
| 2 0 -2 | 24.99 | 3.563 | 4 |
| 1 1 2 | 35.03 | 2.562 | 3 |

=====

TaPd8Au2: simulated powder diffractogram (Cu Kα, 1.54184 Å), based on a PBE-relaxed structure.
Intensities are scaled so that the largest is 100.

Structural model:
Cell lengths 8.153, 10.888, 4.237 Å; angles 90.00, 90.00, 90.00 degrees
Space group Cmmm (No. 65)
One atom of each set of equivalent atoms:
Ta (0.000, 0.000, 0.000) x2
Pd (0.000, 0.235, 0.000) x4
Pd (0.166, 0.128, 0.500) x8
Pd (0.176, 0.500, 0.000) x4
Au (0.000, 0.376, 0.500) x4

Top 12 peaks for 2θ = 5–70°, by intensity:
| index | Position (°2θ) | d_spacing | intensity |
| --- | --- | --- | --- |
| 0 4 1 | 39.34 | 2.290 | 100 |
| 3 1 1 | 40.29 | 2.239 | 91 |
| 0 0 2 | 42.68 | 2.118 | 41 |
| 3 3 0 | 41.51 | 2.175 | 37 |
| 3 3 2 | 61.05 | 1.518 | 23 |
| 3 5 0 | 53.95 | 1.699 | 22 |
| 2 0 0 | 21.80 | 4.077 | 22 |
| 1 1 1 | 25.06 | 3.554 | 17 |
| 2 4 1 | 45.42 | 1.997 | 13 |
| 6 0 0 | 69.13 | 1.359 | 9 |
| 0 8 0 | 69.00 | 1.361 | 9 |
| 4 4 1 | 60.84 | 1.523 | 7 |

=====

TbPd5Au2: simulated powder diffractogram (Cu Kα, 1.54184 Å), based on a PBE-relaxed structure.
Intensities are scaled so that the largest is 100.

Structural model:
Cell lengths 4.124, 4.124, 16.168 Å; angles 90.00, 90.00, 90.00 degrees
Space group I4/mmm (No. 139)
One atom of each set of equivalent atoms:
Tb (0.000, 0.000, 0.000) x2
Pd (0.000, 0.000, 0.500) x2
Pd (0.000, 0.500, 0.127) x8
Au (0.000, 0.000, 0.251) x4

Top 12 peaks for 2θ = 5–70°, by intensity:
| index | Position (°2θ) | d_spacing | intensity |
| --- | --- | --- | --- |
| 1 1 4 | 38.05 | 2.365 | 100 |
| 2 0 0 | 43.91 | 2.062 | 33 |
| 2 0 8 | 64.57 | 1.443 | 21 |
| 0 0 8 | 44.85 | 2.021 | 16 |
| 2 2 0 | 63.85 | 1.458 | 11 |
| 0 0 2 | 10.94 | 8.084 | 6 |
| 0 0 4 | 21.99 | 4.042 | 4 |
| 1 1 0 | 30.66 | 2.916 | 4 |
| 2 0 4 | 49.64 | 1.837 | 2 |
| 1 1 2 | 32.65 | 2.743 | 2 |
| 1 1 8 | 55.31 | 1.661 | 2 |
| 1 1 6 | 45.85 | 1.979 | 1 |

=====

Tb4Pd3Au: simulated powder diffractogram (Cu Kα, 1.54184 Å), based on a PBE-relaxed structure.
Intensities are scaled so that the largest is 100.

Structural model:
Cell lengths 3.756, 4.644, 10.619 Å; angles 90.00, 90.00, 90.00 degrees
Space group Pmm2 (No. 25)
One atom of each set of equivalent atoms:
Tb (0.000, 0.000, 0.000) x1
Tb (0.000, 0.500, 0.269) x1
Tb (0.500, 0.000, 0.490) x1
Tb (0.500, 0.500, 0.772) x1
Pd (0.000, 0.500, 0.545) x1
Pd (0.500, 0.000, 0.218) x1
Pd (0.500, 0.500, 0.046) x1
Au (0.000, 0.000, 0.717) x1

Top 12 peaks for 2θ = 5–70°, by intensity:
| index | Position (°2θ) | d_spacing | intensity |
| --- | --- | --- | --- |
| 1 1 1 | 31.78 | 2.816 | 100 |
| 1 1 3 | 40.03 | 2.253 | 67 |
| 0 2 0 | 38.78 | 2.322 | 34 |
| 0 0 4 | 33.76 | 2.655 | 29 |
| 0 1 4 | 39.08 | 2.305 | 20 |
| 1 0 3 | 34.83 | 2.576 | 18 |
| 2 0 0 | 48.47 | 1.878 | 18 |
| 0 2 4 | 52.35 | 1.748 | 17 |
| 2 2 0 | 63.73 | 1.460 | 16 |
| 1 3 1 | 65.85 | 1.418 | 12 |
| 1 0 7 | 66.46 | 1.407 | 12 |
| 1 2 3 | 53.10 | 1.725 | 11 |

=====

TbPd4Au3: simulated powder diffractogram (Cu Kα, 1.54184 Å), based on a PBE-relaxed structure.
Intensities are scaled so that the largest is 100.

Structural model:
Cell lengths 9.413, 6.045, 4.945 Å; angles 90.00, 90.00, 90.00 degrees
Space group Pmma (No. 51)
One atom of each set of equivalent atoms:
Tb (0.000, 0.000, 0.000) x2
Pd (0.000, 0.255, 0.500) x4
Pd (0.250, 0.260, 0.141) x4
Au (0.000, 0.500, 0.000) x2
Au (0.250, 0.000, 0.609) x2
Au (0.250, 0.500, 0.645) x2

Top 12 peaks for 2θ = 5–70°, by intensity:
| index | Position (°2θ) | d_spacing | intensity |
| --- | --- | --- | --- |
| 2 2 1 | 39.86 | 2.262 | 100 |
| 4 0 0 | 38.24 | 2.353 | 41 |
| 1 2 1 | 36.11 | 2.487 | 27 |
| 1 0 2 | 37.61 | 2.391 | 22 |
| 2 0 2 | 41.24 | 2.189 | 19 |
| 3 2 1 | 45.53 | 1.992 | 14 |
| 0 2 3 | 64.38 | 1.447 | 14 |
| 3 0 2 | 46.78 | 1.942 | 12 |
| 2 0 1 | 26.14 | 3.409 | 11 |
| 0 4 0 | 61.35 | 1.511 | 10 |
| 0 0 2 | 36.33 | 2.473 | 9 |
| 5 2 1 | 60.93 | 1.521 | 6 |

=====

TbPd6Au6: simulated powder diffractogram (Cu Kα, 1.54184 Å), based on a PBE-relaxed structure.
Intensities are scaled so that the largest is 100.

Structural model:
Cell lengths 5.469, 9.231, 9.311 Å; angles 90.00, 90.00, 90.00 degrees
Space group Immm (No. 71)
One atom of each set of equivalent atoms:
Tb (0.000, 0.000, 0.000) x2
Pd (0.000, 0.265, 0.500) x4
Pd (0.250, 0.250, 0.250) x8
Au (0.000, 0.000, 0.342) x4
Au (0.000, 0.334, 0.000) x4
Au (0.000, 0.500, 0.312) x4

Top 12 peaks for 2θ = 5–70°, by intensity:
| index | Position (°2θ) | d_spacing | intensity |
| --- | --- | --- | --- |
| 0 0 4 | 38.65 | 2.330 | 100 |
| 2 2 2 | 43.08 | 2.100 | 87 |
| 1 0 3 | 33.19 | 2.699 | 83 |
| 2 2 0 | 38.22 | 2.355 | 72 |
| 1 3 2 | 38.75 | 2.324 | 50 |
| 2 0 0 | 32.75 | 2.735 | 46 |
| 0 4 0 | 39.03 | 2.308 | 43 |
| 3 2 3 | 62.44 | 1.487 | 32 |
| 0 2 4 | 43.54 | 2.078 | 29 |
| 2 0 6 | 69.66 | 1.350 | 28 |
| 1 3 0 | 33.41 | 2.682 | 26 |
| 1 4 1 | 43.67 | 2.073 | 25 |

=====

TbPd6Au2: simulated powder diffractogram (Cu Kα, 1.54184 Å), based on a PBE-relaxed structure.
Intensities are scaled so that the largest is 100.

Structural model:
Cell lengths 4.5185, 4.5185, 28.2637 Å; angles 90.00, 90.00, 120.00 degrees
Space group R-3m (No. 166, hexagonal axes)
One atom of each set of equivalent atoms:
Tb (0.0000, 0.0000, 0.0000) x3
Pd (0.0000, 0.0000, 0.1978) x6
Pd (0.0000, 0.0000, 0.2953) x6
Pd (0.0000, 0.0000, 0.4032) x6
Au (0.0000, 0.0000, 0.1023) x6

Top 12 peaks for 2θ = 5–70°, by intensity:
| index | Position (°2θ) | d_spacing | intensity |
| --- | --- | --- | --- |
| 1 0 10 | 39.32 | 2.291 | 100 |
| 1 1 0 | 39.90 | 2.259 | 99 |
| 0 2 10 | 57.27 | 1.609 | 34 |
| 1 0 1 | 22.94 | 3.876 | 26 |
| 1 0 4 | 26.03 | 3.423 | 8 |
| 0 0 6 | 18.84 | 4.711 | 7 |
| 0 1 11 | 42.07 | 2.148 | 7 |
| 1 1 9 | 49.71 | 1.834 | 6 |
| 1 0 7 | 31.85 | 2.810 | 5 |
| 1 1 6 | 44.48 | 2.037 | 5 |
| 0 0 9 | 28.42 | 3.140 | 4 |
| 0 2 1 | 46.53 | 1.952 | 4 |

=====

Tb2Pd3Au2: simulated powder diffractogram (Cu Kα, 1.54184 Å), based on a PBE-relaxed structure.
Intensities are scaled so that the largest is 100.

Structural model:
Cell lengths 9.805, 4.106, 8.337 Å; angles 90.00, 119.90, 90.00 degrees
Space group C2/m (No. 12)
One atom of each set of equivalent atoms:
Tb (0.201, 0.000, 0.275) x4
Pd (0.000, 0.500, 0.000) x2
Pd (0.032, 0.500, 0.357) x4
Au (0.154, 0.000, 0.879) x4

Top 12 peaks for 2θ = 5–70°, by intensity:
| index | Position (°2θ) | d_spacing | intensity |
| --- | --- | --- | --- |
| 1 1 -3 | 39.99 | 2.254 | 100 |
| 3 1 0 | 38.61 | 2.332 | 78 |
| 1 1 -2 | 30.61 | 2.920 | 45 |
| 4 0 -3 | 40.23 | 2.242 | 42 |
| 3 1 -1 | 35.26 | 2.545 | 40 |
| 0 2 0 | 44.11 | 2.053 | 34 |
| 0 0 1 | 12.25 | 7.228 | 30 |
| 4 2 -3 | 61.22 | 1.514 | 24 |
| 0 0 2 | 24.58 | 3.621 | 20 |
| 2 2 2 | 61.05 | 1.518 | 16 |
| 6 0 -1 | 59.93 | 1.543 | 14 |
| 2 0 3 | 52.14 | 1.754 | 9 |